Zn2CoP2O8: theoretical powder XRD pattern (Cu Kα X-rays), based on a DFT-relaxed cell (GGA+U, OQMD).
No peak broadening, texture or thermal motion is included.

The 10 most intense peaks (15 to 90 degrees two-theta), sorted by position:
- d = 4.331 Å, 20.5°, intensity 94.9, (1 0 0)
- d = 4.022 Å, 22.1°, intensity 33.0, (1 0 -2)
- d = 3.388 Å, 26.3°, intensity 100.0, (0 1 2)
- d = 3.219 Å, 27.7°, intensity 26.0, (1 2 -1)
- d = 2.521 Å, 35.6°, intensity 25.7, (2 0 -2)
- d = 2.494 Å, 36.0°, intensity 34.1, (1 2 1)
- d = 2.440 Å, 36.8°, intensity 45.5, (1 3 -1)
- d = 2.369 Å, 38.0°, intensity 29.8, (0 1 3)
- d = 2.036 Å, 44.5°, intensity 19.6, (2 2 -3)
- d = 1.663 Å, 55.2°, intensity 21.0, (2 1 -5)

Structural model:
```
Zn2CoP2O8
1.0
5.059 0.000 0.000
0.000 8.365 0.000
-4.464 0.000 7.410
Zn Co P O
4 2 4 16
Cartesian
-0.389 1.146 0.897
-2.621 3.036 4.602
3.216 5.329 2.809
0.984 7.219 6.514
-2.232 0.000 3.705
0.000 4.183 0.000
-1.839 5.797 5.990
0.393 6.751 2.285
0.202 1.614 5.125
2.434 2.568 1.420
-1.875 4.841 4.771
0.357 7.707 1.066
-0.100 5.326 1.853
-2.332 7.221 5.558
-2.786 5.327 7.100
-0.555 7.220 3.395
-1.259 1.645 4.613
0.973 2.538 0.908
-0.378 5.827 6.503
1.854 6.720 2.797
1.150 1.145 4.016
3.382 3.038 0.310
2.927 1.144 1.852
0.695 3.039 5.557
0.238 0.658 6.344
2.470 3.524 2.639
```